[1]
For BaHS, a structure optimized by DFT (PBE) gives the simulated XRD peak list in this record (λ = 1.5418 Å (Cu Kα)).
Kinematic intensities with the Lorentz-polarization factor, no thermal factor.

Most intense lines, 5° ≤ 2θ ≤ 70°, by angle:
d (Å)	2θ/deg	I (rel.)
3.892	22.85	69.9
3.860	23.04	28.1
3.737	23.81	41.2
3.262	27.34	22.4
3.005	29.73	100.0
2.536	35.40	50.3
2.279	39.54	58.7
1.963	46.26	27.6
1.816	50.24	22.0
1.473	63.12	27.8

Atomic structure:
```
6
Lattice="2.2794 1.3160 7.7193 -2.2794 1.3160 7.7193 0.0000 -2.6320 7.7193" Properties=species:S:1:pos:R:3 pbc="T T T"
Ba 0.0000 0.0000 0.0000
Ba 0.0000 0.0000 3.9514
H 0.0000 0.0000 18.6946
H 0.0000 0.0000 19.4660
S 0.0000 0.0000 9.6223
S 0.0000 0.0000 13.5760
```


[2]
For Ti4Fe, a structure optimized by DFT (PBE) gives the simulated XRD peak list in this record (λ = 1.5418 Å (Cu Kα)).
Kinematic intensities with the Lorentz-polarization factor, no thermal factor.

Most intense lines, 5° ≤ 2θ ≤ 70°, by angle:
d (Å)	2θ/deg	I (rel.)
5.059	17.53	7.9
2.262	39.85	51.8
2.193	41.16	100.0
1.788	51.07	2.6
1.686	54.42	1.0
1.657	55.46	3.7
1.601	57.58	8.2
1.598	57.68	6.9
1.506	61.59	7.1
1.503	61.70	1.8

Atomic structure:
```
10
Lattice="10.1097 0.0000 0.0000 0.0000 3.0116 0.0000 -5.0505 0.0000 5.0622" Properties=species:S:1:pos:R:3 pbc="T T T"
Ti -0.9621 0.0000 1.8440
Ti -1.8287 1.5058 4.1046
Ti 1.8331 0.0000 0.9575
Ti 0.9664 1.5058 3.2182
Ti 4.0927 1.5058 1.8440
Ti 3.2261 0.0000 4.1046
Ti 6.8879 1.5058 0.9575
Ti 6.0213 0.0000 3.2182
Fe 0.0000 1.5058 0.0000
Fe 5.0548 0.0000 0.0000
```


[3]
For Th3Pd4Pt3, a structure optimized by DFT (PBE) gives the simulated XRD peak list in this record (λ = 1.5418 Å (Cu Kα)).
Kinematic intensities with the Lorentz-polarization factor, no thermal factor.

Most intense lines, 5° ≤ 2θ ≤ 70°, by angle:
d (Å)	2θ/deg	I (rel.)
3.898	22.81	17.1
3.376	26.40	19.9
2.552	35.17	100.0
2.135	42.33	54.4
1.949	46.60	11.6
1.743	52.49	26.4
1.549	59.69	6.8
1.510	61.41	6.7
1.408	66.40	13.9
1.378	68.02	15.0

Atomic structure:
```
20
Lattice="-4.7744 4.7744 4.7744 4.7744 -4.7744 4.7744 4.7744 4.7744 -4.7744" Properties=species:S:1:pos:R:3 pbc="T T T"
Th 7.1616 1.1936 0.0000
Th 3.5808 0.0000 2.3872
Th 2.3872 3.5808 0.0000
Th 0.0000 2.3872 3.5808
Th 1.1936 0.0000 7.1616
Th 0.0000 7.1616 1.1936
Pd 3.7888 0.9856 -0.9856
Pd 6.1760 -1.4016 1.4016
Pd 0.9856 0.9856 0.9856
Pd 0.9856 -0.9856 3.7888
Pd -0.9856 3.7888 0.9856
Pd 1.4016 6.1760 -1.4016
Pd 3.3728 3.3728 3.3728
Pd -1.4016 1.4016 6.1760
Pt 4.7744 -2.3872 3.5808
Pt 3.5808 4.7744 -2.3872
Pt 4.7744 2.3872 1.1936
Pt 2.3872 1.1936 4.7744
Pt 1.1936 4.7744 2.3872
Pt -2.3872 3.5808 4.7744
```


[4]
For Pr8Zn2Sb, a structure optimized by DFT (PBE) gives the simulated XRD peak list in this record (λ = 1.5418 Å (Cu Kα)).
Kinematic intensities with the Lorentz-polarization factor, no thermal factor.

Most intense lines, 5° ≤ 2θ ≤ 70°, by angle:
d (Å)	2θ/deg	I (rel.)
3.297	27.04	52.7
3.040	29.38	40.5
2.978	30.01	100.0
2.965	30.14	76.5
2.816	31.78	67.9
2.664	33.64	27.3
2.595	34.57	79.4
2.521	35.61	27.4
2.101	43.06	28.1
1.541	60.05	35.5

Atomic structure:
```
11
Lattice="9.5797 -2.5945 0.0000 9.5797 2.5945 0.0000 -1.4799 0.0000 7.0733" Properties=species:S:1:pos:R:3 pbc="T T T"
Pr 0.2508 0.0000 1.8349
Pr 2.6706 0.0000 5.8233
Pr 5.5743 0.0000 3.7819
Pr 7.7308 0.0000 0.3622
Pr 9.9487 0.0000 6.7111
Pr 12.1051 0.0000 3.2914
Pr 15.0089 0.0000 1.2500
Pr 17.4287 0.0000 5.2384
Zn 3.3360 0.0000 1.6437
Zn 14.3435 0.0000 5.4296
Sb 8.8397 0.0000 3.5366
```


[5]
For Ho2CdHg2, a structure optimized by DFT (PBE) gives the simulated XRD peak list in this record (λ = 1.5418 Å (Cu Kα)).
Kinematic intensities with the Lorentz-polarization factor, no thermal factor.

Most intense lines, 5° ≤ 2θ ≤ 70°, by angle:
d (Å)	2θ/deg	I (rel.)
5.674	15.62	11.0
2.816	31.78	10.2
2.657	33.73	100.0
2.537	35.38	37.0
2.006	45.20	7.4
1.977	45.91	11.5
1.939	46.85	7.6
1.746	52.40	9.3
1.559	59.26	13.6
1.394	67.14	16.5

Atomic structure:
```
20
Lattice="8.0238 0.0000 0.0000 0.0000 8.0238 0.0000 0.0000 0.0000 7.9071" Properties=species:S:1:pos:R:3 pbc="T T T"
Ho 1.3335 2.6651 0.0000
Ho 1.3468 2.6784 3.9535
Ho 2.6651 6.6903 0.0000
Ho 2.6784 6.6770 3.9535
Ho 5.3454 1.3468 3.9535
Ho 5.3587 1.3335 0.0000
Ho 6.6770 5.3454 3.9535
Ho 6.6903 5.3587 0.0000
Cd 0.0000 0.0000 1.6803
Cd 0.0000 0.0000 6.2268
Cd 4.0119 4.0119 2.2732
Cd 4.0119 4.0119 5.6339
Hg 1.0687 5.0806 1.9768
Hg 1.0687 5.0806 5.9303
Hg 2.9431 1.0687 1.9768
Hg 2.9431 1.0687 5.9303
Hg 5.0806 6.9550 1.9768
Hg 5.0806 6.9550 5.9303
Hg 6.9550 2.9431 1.9768
Hg 6.9550 2.9431 5.9303
```


[6]
For Sr4SI6, a structure optimized by DFT (PBE) gives the simulated XRD peak list in this record (λ = 1.5418 Å (Cu Kα)).
Kinematic intensities with the Lorentz-polarization factor, no thermal factor.

Most intense lines, 5° ≤ 2θ ≤ 70°, by angle:
d (Å)	2θ/deg	I (rel.)
4.462	19.90	67.7
3.416	26.08	43.3
3.278	27.21	84.1
3.193	27.95	40.7
3.062	29.17	100.0
2.802	31.94	69.1
2.748	32.58	76.2
2.701	33.17	76.8
2.389	37.65	44.1
2.313	38.93	50.9

Atomic structure:
```
22
Lattice="10.8031 0.0000 0.0000 0.0000 10.8031 0.0000 0.0000 0.0000 7.9156" Properties=species:S:1:pos:R:3 pbc="T T T"
Sr 0.0685 8.1024 0.7035
Sr 2.7008 5.4700 3.2543
Sr 2.7008 10.7347 3.2543
Sr 5.3331 8.1024 0.7035
Sr 5.4700 2.7008 7.2121
Sr 8.1024 0.0685 4.6613
Sr 8.1024 5.3331 4.6613
Sr 10.7347 2.7008 7.2121
S 2.7008 8.1024 1.9789
S 8.1024 2.7008 5.9367
I 0.4784 5.8800 5.9367
I 0.4784 10.3247 5.9367
I 2.7008 2.7008 1.0900
I 2.7008 2.7008 5.0478
I 4.9232 5.8800 5.9367
I 4.9232 10.3247 5.9367
I 5.8800 0.4784 1.9789
I 5.8800 4.9232 1.9789
I 8.1024 8.1024 2.8678
I 8.1024 8.1024 6.8256
I 10.3247 0.4784 1.9789
I 10.3247 4.9232 1.9789
```


[7]
For TaBe4Mo, a structure optimized by DFT (PBE) gives the simulated XRD peak list in this record (λ = 1.5418 Å (Cu Kα)).
Kinematic intensities with the Lorentz-polarization factor, no thermal factor.

Most intense lines, 5° ≤ 2θ ≤ 70°, by angle:
d (Å)	2θ/deg	I (rel.)
7.395	11.97	30.6
3.933	22.61	83.7
3.697	24.07	41.4
3.473	25.65	72.4
2.694	33.26	44.1
2.271	39.69	90.2
2.089	43.32	100.0
1.935	46.96	54.5
1.901	47.86	19.5
1.537	60.19	31.4

Atomic structure:
```
12
Lattice="4.5419 0.0000 0.0000 -2.2710 3.9334 0.0000 0.0000 0.0000 7.3946" Properties=species:S:1:pos:R:3 pbc="T T T"
Ta 0.0000 2.6223 3.1690
Ta 2.2710 1.3111 4.2256
Be 0.0000 0.0000 0.0000
Be 0.0000 0.0000 3.6973
Be 0.0000 1.3420 5.5736
Be -1.1088 3.2624 5.5736
Be 1.1622 0.6710 1.8210
Be 1.1088 3.2624 5.5736
Be 3.3797 0.6710 1.8210
Be 2.2710 2.5915 1.8210
Mo 0.0000 2.6223 0.4479
Mo 2.2710 1.3111 6.9467
```


[8]
For Ca2P6O17, a structure optimized by DFT (PBE) gives the simulated XRD peak list in this record (λ = 1.5418 Å (Cu Kα)).
Kinematic intensities with the Lorentz-polarization factor, no thermal factor.

Most intense lines, 5° ≤ 2θ ≤ 70°, by angle:
d (Å)	2θ/deg	I (rel.)
5.234	16.94	100.0
4.649	19.09	63.4
4.087	21.74	21.3
4.054	21.93	35.5
3.676	24.21	23.0
3.604	24.70	24.5
3.535	25.19	31.5
3.507	25.40	27.5
3.359	26.54	39.8
3.063	29.15	23.6

Atomic structure:
```
50
Lattice="5.8458 0.0000 0.0000 0.0000 18.5068 0.0000 -2.7716 0.0000 7.2093" Properties=species:S:1:pos:R:3 pbc="T T T"
Ca 0.2363 0.0000 0.7853
Ca -1.1252 11.9864 4.3484
Ca 4.1994 2.7330 2.8609
Ca 2.8379 9.2534 6.4240
P 0.6651 7.5526 2.3982
P -0.6815 4.4544 5.9898
P -0.1635 7.2905 5.2685
P 1.2577 4.7018 1.6508
P 1.2089 0.8320 4.0544
P 2.7339 11.1695 0.3303
P 0.3402 1.9161 6.8790
P 1.8653 10.0854 3.1549
P 1.8164 13.9552 5.5585
P 3.2377 16.5439 1.9409
P 3.7556 13.7078 1.2195
P 2.4091 16.8060 4.8111
O -0.1186 8.1443 1.2957
O -1.4738 3.9139 4.8694
O -1.5356 7.6267 5.7232
O -0.0836 4.2791 2.1233
O -0.2393 7.1613 3.6302
O 1.1790 4.8153 0.0164
O 0.1510 1.0871 3.0096
O -1.1779 10.8693 6.6016
O 1.7089 1.6375 0.0811
O 0.4844 10.6083 3.3355
O 1.5094 6.2756 2.0212
O 0.1821 5.7369 5.6614
O 0.5686 13.2557 5.1617
O 2.0486 17.3370 1.5441
O 0.5807 1.2243 5.4666
O 2.5837 12.7572 0.7183
O 1.2344 17.7143 4.2558
O 1.8398 8.4609 2.9535
O 0.4905 3.5037 6.4910
O 2.4934 10.4777 1.7427
O 1.0255 8.0836 5.6652
O 2.5055 4.0023 2.0476
O 2.8920 14.9904 1.5480
O 1.5648 15.5290 5.1881
O 2.5898 1.3549 3.8738
O 1.3653 10.8910 7.1282
O 4.2521 1.6159 0.6077
O 2.9231 10.3405 4.1997
O 1.8951 14.0687 7.1929
O 3.3135 16.4147 3.5791
O 3.1577 13.5325 5.0860
O 4.6098 16.8801 1.4861
O 4.5480 13.1673 2.3400
O 3.1927 17.3977 5.9136
```


[9]
For Tl16In12Hg, a structure optimized by DFT (PBE) gives the simulated XRD peak list in this record (λ = 1.5418 Å (Cu Kα)).
Kinematic intensities with the Lorentz-polarization factor, no thermal factor.

Most intense lines, 5° ≤ 2θ ≤ 70°, by angle:
d (Å)	2θ/deg	I (rel.)
2.994	29.84	4.4
2.823	31.70	100.0
2.553	35.15	14.9
2.444	36.77	9.4
2.348	38.33	8.4
1.996	45.44	4.5
1.728	52.98	5.5
1.694	54.16	5.5
1.630	56.44	23.6
1.627	56.55	7.0

Atomic structure:
```
29
Lattice="5.9778 -8.4726 0.0000 5.9778 8.4726 0.0000 -5.9777 0.0000 8.4763" Properties=species:S:1:pos:R:3 pbc="T T T"
Tl 0.0000 0.0000 0.0000
Tl -2.1218 5.1231 8.1518
Tl -3.8015 0.0000 5.4357
Tl -1.6290 3.0449 5.4285
Tl 3.8663 3.3169 2.7418
Tl 6.4412 5.7319 2.0571
Tl 1.7434 2.3478 5.3940
Tl -1.6290 -3.0449 5.4285
Tl 6.4239 2.6702 0.3047
Tl 1.7434 -2.3478 5.3940
Tl -2.1218 -5.1231 8.1518
Tl 5.8844 0.0000 2.4219
Tl 3.8663 -3.3169 2.7418
Tl 2.5907 0.0000 7.8720
Tl 6.4239 -2.6702 0.3047
Tl 6.4412 -5.7319 2.0571
In 1.0990 5.3665 3.8469
In 3.2622 6.8991 2.3420
In 3.2222 1.5805 0.0957
In 1.1068 5.3243 7.0176
In -0.3632 0.0000 3.8589
In -0.5342 0.0000 6.9262
In 3.2222 -1.5805 0.0957
In 1.0990 -5.3665 3.8469
In 4.8410 1.5174 5.4569
In 4.8410 -1.5174 5.4569
In 3.2622 -6.8991 2.3420
In 1.1068 -5.3243 7.0176
Hg 2.5749 0.0000 2.9050
```


[10]
For Pu4Mn4Al, a structure optimized by DFT (PBE) gives the simulated XRD peak list in this record (λ = 1.5418 Å (Cu Kα)).
Kinematic intensities with the Lorentz-polarization factor, no thermal factor.

Most intense lines, 5° ≤ 2θ ≤ 70°, by angle:
d (Å)	2θ/deg	I (rel.)
3.862	23.03	30.9
3.058	29.20	56.6
2.993	29.86	100.0
2.687	33.34	63.7
2.644	33.91	48.7
2.184	41.35	25.3
2.141	42.22	66.5
2.074	43.64	33.9
1.664	55.21	40.9
1.632	56.38	23.4

Atomic structure:
```
9
Lattice="-2.0742 3.7492 5.2875 2.0742 -3.7492 5.2875 2.0742 3.7492 -5.2875" Properties=species:S:1:pos:R:3 pbc="T T T"
Pu 2.0742 1.4082 0.0000
Pu 0.0000 0.0000 2.6068
Pu 0.0000 0.0000 7.9682
Pu 0.0000 2.3410 5.2875
Mn 2.0742 -1.4626 3.2184
Mn 2.0742 1.4626 3.2184
Mn 0.0000 2.2865 2.0691
Mn 0.0000 5.2118 2.0691
Al 0.0000 3.7492 0.0000
```


[11]
For Li2Al8Re, a structure optimized by DFT (PBE) gives the simulated XRD peak list in this record (λ = 1.5418 Å (Cu Kα)).
Kinematic intensities with the Lorentz-polarization factor, no thermal factor.

Most intense lines, 5° ≤ 2θ ≤ 70°, by angle:
d (Å)	2θ/deg	I (rel.)
7.266	12.18	100.0
4.836	18.35	24.9
4.788	18.53	33.8
4.036	22.02	16.8
3.682	24.17	16.9
2.299	39.18	48.6
2.282	39.50	45.3
2.023	44.79	15.9
2.001	45.32	19.3
1.930	47.08	15.3

Atomic structure:
```
11
Lattice="4.8889 0.0000 0.0000 0.7175 4.8401 0.0000 0.1169 1.0712 7.2658" Properties=species:S:1:pos:R:3 pbc="T T T"
Li 1.2858 1.1713 3.2938
Li 4.4374 4.7401 3.9719
Al 0.4015 1.2808 0.6904
Al 1.3034 3.6411 1.9454
Al 1.9922 3.4311 4.6835
Al 2.0620 1.0617 6.0247
Al 3.6612 4.8496 1.2411
Al 3.7311 2.4802 2.5823
Al 4.4199 2.2702 5.3204
Al 5.3217 4.6305 6.5754
Re 2.8032 2.4200 0.0000
```